For Ba2Fe3O8, a structure optimized by DFT (PBE+U) gives the theoretical powder XRD pattern in this record (copper Kα).
No peak broadening, texture or thermal motion is included.

Principal peaks in the range 2θ from 5° to 70°, in order of falling intensity:
index	2theta	I (rel.)
0 0 1	7.0	1000
1 0 3	31.0	756
1 1 0	32.2	295
2 1 3	56.6	267
2 0 0	46.1	239
0 0 2	13.9	199
2 0 6	64.7	146
0 0 6	42.7	141

Structure:
a = 3.9340 Å, b = 3.9340 Å, c = 12.7126 Å
α = 90.00°, β = 90.00°, γ = 90.00°
Fractional positions:
Ba (0.0000, 0.0000, 0.1631)
Ba (0.0000, 0.0000, 0.8369)
Fe (0.5000, 0.5000, 0.0000)
Fe (0.5000, 0.5000, 0.3186)
Fe (0.5000, 0.5000, 0.6814)
O (0.0000, 0.5000, 0.0000)
O (0.0000, 0.5000, 0.3296)
O (0.0000, 0.5000, 0.6704)
O (0.5000, 0.0000, 0.0000)
O (0.5000, 0.0000, 0.3296)
O (0.5000, 0.0000, 0.6704)
O (0.5000, 0.5000, 0.1595)
O (0.5000, 0.5000, 0.8405)